Theoretical powder diffraction line list
Compound: Sr4CoRe2O12
Radiation: CuKα
Structure: a cell relaxed with PBE+U

Cell and atoms:
Unit cell a=9.447 b=9.447 c=9.447 alpha=34.00 beta=34.00 gamma=34.00
Positions (direct):
Sr 0.132 0.132 0.132
Sr 0.291 0.291 0.291
Sr 0.709 0.709 0.709
Sr 0.868 0.868 0.868
Co 0.000 0.000 0.000
Re 0.421 0.421 0.421
Re 0.579 0.579 0.579
O 0.128 0.622 0.622
O 0.215 0.215 0.699
O 0.215 0.699 0.215
O 0.301 0.785 0.785
O 0.378 0.378 0.872
O 0.378 0.872 0.378
O 0.622 0.128 0.622
O 0.622 0.622 0.128
O 0.699 0.215 0.215
O 0.785 0.301 0.785
O 0.785 0.785 0.301
O 0.872 0.378 0.378

Most intense lines, 2θ from 10° to 90°, in order of rising 2θ:
| Position (°2θ) | Rel. int. |
| --- | --- |
| 18.85 | 28 |
| 29.98 | 100 |
| 32.41 | 90 |
| 44.73 | 57 |
| 51.63 | 16 |
| 56.32 | 35 |
| 57.82 | 18 |
| 62.29 | 16 |
| 67.87 | 18 |
| 71.99 | 18 |